# 1
Simulated powder X-ray diffraction pattern of TbTh2Tc9 for Cu Kα, 1.54184 Å, from a DFT-relaxed cell (GGA-PBE, Alexandria).
Peak positions follow from Bragg's law for the DFT cell and can differ from measured ones.

Atomic structure:
Cell: 5.349 5.473 9.124 Å, 76.82 89.96 60.80°
Space group P-1 (No. 2)
One atom of each set of equivalent atoms:
1 Tb 0.000 0.000 0.000
2 Th 0.144 0.711 0.426
3 Tc 0.060 0.337 0.236
4 Tc 0.356 0.290 0.011
5 Tc 0.396 0.664 0.764
6 Tc 0.421 0.158 0.745
7 Tc 0.500 0.000 0.500

Main lines, low angle first (2θ from 15° to 90°):
2θ/deg, d/Å, I_rel, index
29.78, 3.000, 57, 1 1 -2
31.55, 2.836, 83, 0 1 -2
32.83, 2.728, 81, 1 2 1
33.95, 2.640, 53, 1 1 3
37.39, 2.405, 100, 1 2 -1
38.93, 2.313, 86, 2 0 -1
39.42, 2.286, 85, 2 1 2
40.23, 2.242, 82, 1 2 3
43.11, 2.098, 50, 0 2 3
61.86, 1.500, 54, 2 0 4

***

# 2
Simulated powder X-ray diffraction pattern of NpTl2HgO8 for Cu Kα, 1.54184 Å, from a DFT-relaxed cell (GGA-PBE, Alexandria).
Peak positions follow from Bragg's law for the DFT cell and can differ from measured ones.

Atomic structure:
Cell: 5.196 5.211 6.977 Å, 86.46 86.30 85.61°
Space group P-1 (No. 2)
One atom of each set of equivalent atoms:
1 Np 0.000 0.000 0.000
2 Tl 0.471 0.471 0.256
3 Hg 0.000 0.000 0.500
4 O 0.166 0.162 0.239
5 O 0.198 0.193 0.823
6 O 0.296 0.700 0.000
7 O 0.303 0.693 0.500

Main lines, low angle first (2θ from 15° to 90°):
2θ/deg, d/Å, I_rel, index
23.39, 3.803, 100, 1 1 0
25.19, 3.536, 86, 1 -1 0
30.11, 2.968, 100, 1 0 2
31.84, 2.811, 76, 1 0 -2
34.58, 2.594, 27, 0 2 0
34.69, 2.586, 27, 2 0 0
44.26, 2.046, 35, 2 1 2
47.55, 1.912, 35, 2 -1 2
47.87, 1.900, 27, 1 2 -2
58.26, 1.584, 18, 0 3 2